Computed powder diffractogram
Compound: PrSn12Rh4
Radiation: Cu Kα
Structure: the GGA-PBE geometry in Alexandria
Lines closer than 0.1° are merged.

Peak list (10 most intense, 5° ≤ 2θ ≤ 70°, by angle)
two_theta	d [Å]	I/Imax
29.91	2.987	100
35.56	2.524	47
42.82	2.112	23
47.14	1.928	35
49.19	1.852	27
56.84	1.620	15
58.64	1.574	8
60.41	1.532	7
62.15	1.493	7
67.22	1.393	20

Structural model:
Cell: 8.1801 8.1801 8.1801 Å, 109.47 109.47 109.47°
Fractional positions:
Pr 0.0000 0.0000 0.0000
Sn 0.1620 0.3391 0.5011
Sn 0.1620 0.6609 0.8229
Sn 0.1771 0.8380 0.3391
Sn 0.3391 0.1771 0.8380
Sn 0.3391 0.5011 0.1620
Sn 0.4989 0.8380 0.6609
Sn 0.5011 0.1620 0.3391
Sn 0.6609 0.4989 0.8380
Sn 0.6609 0.8229 0.1620
Sn 0.8229 0.1620 0.6609
Sn 0.8380 0.3391 0.1771
Sn 0.8380 0.6609 0.4989
Rh 0.0000 0.0000 0.5000
Rh 0.0000 0.5000 0.0000
Rh 0.5000 0.0000 0.0000
Rh 0.5000 0.5000 0.5000